Structure and theoretical X-ray powder pattern of KW3Se6 (a cell relaxed with GGA-PBE; Cu Ka).
Neutral-atom scattering factors, no anomalous dispersion.

Peak list (12 most intense, 10 to 80 degrees two-theta, by angle)
2θ/deg  Rel. int.
13.8  61
14.4  47
15.1  47
32.9  100
33.6  42
33.8  99
36.1  70
39.1  50
39.8  37
43.1  41
43.5  42
44.4  82

Structure:
Unit cell a=12.802 b=3.387 c=13.779 alpha=90.00 beta=91.87 gamma=90.00
Space group P2_1/m (No. 11)
Unique sites:
1 K 0.170 0.250 0.421 [2 per cell]
2 W 0.055 0.750 0.879 [2 per cell]
3 W 0.140 0.250 0.737 [2 per cell]
4 W 0.454 0.750 0.571 [2 per cell]
5 Se 0.051 0.750 0.221 [2 per cell]
6 Se 0.086 0.750 0.602 [2 per cell]
7 Se 0.115 0.250 0.015 [2 per cell]
8 Se 0.247 0.750 0.837 [2 per cell]
9 Se 0.329 0.250 0.637 [2 per cell]
10 Se 0.400 0.750 0.394 [2 per cell]

---

Structure and theoretical X-ray powder pattern of KWSe3 (a cell relaxed with GGA-PBE; Cu Ka).
Neutral-atom scattering factors, no anomalous dispersion.

Peak list (12 most intense, 10 to 80 degrees two-theta, by angle)
2θ/deg  Rel. int.
16.7  69
22.9  38
23.5  100
24.1  35
24.4  64
31.0  65
32.3  35
33.1  47
35.7  50
41.3  60
42.8  37
46.3  38

Structure:
Unit cell a=9.009 b=6.588 c=9.357 alpha=90.00 beta=98.12 gamma=90.00
Space group P2_1/c (No. 14)
Unique sites:
1 K 0.127 0.178 0.196 [4 per cell]
2 W 0.413 0.738 0.594 [4 per cell]
3 Se 0.152 0.686 0.080 [4 per cell]
4 Se 0.338 0.075 0.947 [4 per cell]
5 Se 0.458 0.584 0.844 [4 per cell]

---

Structure and theoretical X-ray powder pattern of KW4Se7 (a cell relaxed with GGA-PBE; Cu Ka).
Neutral-atom scattering factors, no anomalous dispersion.

Peak list (12 most intense, 10 to 80 degrees two-theta, by angle)
2θ/deg  Rel. int.
11.5  100
14.1  31
15.2  14
15.8  21
18.2  16
22.7  17
29.7  14
36.8  22
39.3  13
43.4  28
45.5  15
50.5  17

Structure:
Unit cell a=6.245 b=15.446 c=6.517 alpha=90.00 beta=105.30 gamma=90.00
Space group Pm (No. 6)
Unique sites:
1 K 0.000 0.000 0.000 [1 per cell]
2 K 0.421 0.500 0.441 [1 per cell]
3 W 0.293 0.149 0.660 [2 per cell]
4 W 0.391 0.237 0.006 [2 per cell]
5 W 0.720 0.345 0.026 [2 per cell]
6 W 0.921 0.271 0.738 [2 per cell]
7 Se 0.145 0.363 0.028 [2 per cell]
8 Se 0.352 0.140 0.291 [2 per cell]
9 Se 0.422 0.000 0.783 [1 per cell]
10 Se 0.490 0.297 0.645 [2 per cell]
11 Se 0.633 0.500 0.979 [1 per cell]
12 Se 0.789 0.182 0.042 [2 per cell]
13 Se 0.892 0.363 0.432 [2 per cell]
14 Se 0.901 0.129 0.542 [2 per cell]

---

Structure and theoretical X-ray powder pattern of K2Zn2Se3 (a cell relaxed with GGA-PBE; Cu Ka).
Neutral-atom scattering factors, no anomalous dispersion.

Peak list (12 most intense, 10 to 80 degrees two-theta, by angle)
2θ/deg  Rel. int.
11.8  81
18.4  16
22.1  22
25.1  100
28.0  43
30.4  44
32.8  63
36.8  17
40.1  19
42.5  53
44.1  17
54.2  23

Structure:
Unit cell a=16.493 b=14.660 c=7.086 alpha=90.00 beta=114.70 gamma=90.00
Space group C2/c (No. 15)
Unique sites:
1 K 0.000 0.066 0.250 [4 per cell]
2 K 0.000 0.213 0.750 [4 per cell]
3 K 0.105 0.411 0.575 [8 per cell]
4 Zn 0.192 0.229 0.263 [8 per cell]
5 Zn 0.225 0.077 0.802 [8 per cell]
6 Se 0.117 0.371 0.081 [8 per cell]
7 Se 0.149 0.205 0.562 [8 per cell]
8 Se 0.170 0.073 0.087 [8 per cell]

---

Structure and theoretical X-ray powder pattern of K2Zn2Se3 (a cell relaxed with GGA-PBE; Cu Ka).
Neutral-atom scattering factors, no anomalous dispersion.

Peak list (12 most intense, 10 to 80 degrees two-theta, by angle)
2θ/deg  Rel. int.
13.1  100
22.7  26
25.7  56
28.4  96
31.4  40
31.6  43
31.7  27
33.5  40
42.2  33
43.5  38
44.7  55
51.4  33

Structure:
Unit cell a=14.045 b=4.164 c=8.198 alpha=90.00 beta=124.21 gamma=90.00
Space group C2/m (No. 12)
Unique sites:
1 K 0.065 0.000 0.341 [4 per cell]
2 Zn 0.193 0.500 0.071 [4 per cell]
3 Se 0.000 0.500 0.000 [2 per cell]
4 Se 0.189 0.500 0.753 [4 per cell]

---

Structure and theoretical X-ray powder pattern of KSi3 (a cell relaxed with GGA-PBE; Cu Ka).
Neutral-atom scattering factors, no anomalous dispersion.

Peak list (12 most intense, 10 to 80 degrees two-theta, by angle)
2θ/deg  Rel. int.
13.4  38
23.8  69
27.1  30
33.6  100
35.7  84
37.9  92
38.5  21
39.8  62
52.7  35
54.5  45
59.7  28
68.2  18

Structure:
Unit cell a=2.915 b=4.529 c=6.654 alpha=90.00 beta=98.04 gamma=90.00
Space group P2/m (No. 10)
Unique sites:
1 K 0.000 0.000 0.000 [1 per cell]
2 Si 0.309 0.500 0.652 [2 per cell]
3 Si 0.500 0.000 0.500 [1 per cell]

---

Structure and theoretical X-ray powder pattern of K3Si23 (a cell relaxed with GGA-PBE; Cu Ka).
Neutral-atom scattering factors, no anomalous dispersion.

Peak list (12 most intense, 10 to 80 degrees two-theta, by angle)
2θ/deg  Rel. int.
21.2  15
27.4  14
30.1  63
31.4  60
32.6  100
34.9  15
36.0  24
51.8  79
52.6  20
53.4  21
55.0  48
56.6  13

Structure:
Unit cell a=10.286 b=10.286 c=10.286 alpha=90.00 beta=90.00 gamma=90.00
Space group Pm-3n (No. 223)
Unique sites:
1 K 0.000 0.250 0.500 [6 per cell]
2 Si 0.000 0.306 0.118 [24 per cell]
3 Si 0.000 0.500 0.250 [6 per cell]
4 Si 0.184 0.184 0.184 [16 per cell]

---

Structure and theoretical X-ray powder pattern of KSi3 (a cell relaxed with GGA-PBE; Cu Ka).
Neutral-atom scattering factors, no anomalous dispersion.

Peak list (12 most intense, 10 to 80 degrees two-theta, by angle)
2θ/deg  Rel. int.
12.2  19
24.6  16
29.1  38
36.3  100
37.2  12
37.6  80
45.4  10
46.1  12
53.9  15
54.2  26
57.7  28
66.9  29

Structure:
Unit cell a=3.387 b=3.387 c=7.248 alpha=90.00 beta=90.00 gamma=90.00
Space group P4/mmm (No. 123)
Unique sites:
1 K 0.000 0.000 0.000 [1 per cell]
2 Si 0.000 0.000 0.500 [1 per cell]
3 Si 0.500 0.500 0.338 [2 per cell]

---

Structure and theoretical X-ray powder pattern of K2Si (a cell relaxed with GGA-PBE; Cu Ka).
Neutral-atom scattering factors, no anomalous dispersion.

Peak list (12 most intense, 10 to 80 degrees two-theta, by angle)
2θ/deg  Rel. int.
24.3  27
25.9  66
26.3  78
27.3  100
29.6  88
32.4  21
35.8  53
36.3  29
36.7  40
45.5  40
48.0  33
53.8  25

Structure:
Unit cell a=3.992 b=18.584 c=6.883 alpha=90.00 beta=90.00 gamma=90.00
Space group Amm2 (No. 38)
Unique sites:
1 K 0.000 0.094 0.000 [4 per cell]
2 K 0.500 0.166 0.507 [4 per cell]
3 Si 0.000 0.000 0.505 [2 per cell]
4 Si 0.500 0.000 0.314 [2 per cell]

---

Structure and theoretical X-ray powder pattern of K2Si (a cell relaxed with GGA-PBE; Cu Ka).
Neutral-atom scattering factors, no anomalous dispersion.

Peak list (12 most intense, 10 to 80 degrees two-theta, by angle)
2θ/deg  Rel. int.
10.6  70
20.4  24
21.4  23
24.7  43
25.5  100
26.7  20
29.1  38
31.3  66
33.5  48
38.2  36
40.0  26
53.9  20

Structure:
Unit cell a=17.055 b=4.511 c=7.392 alpha=90.00 beta=102.71 gamma=90.00
Space group C2/m (No. 12)
Unique sites:
1 K 0.103 0.000 0.074 [4 per cell]
2 K 0.140 0.000 0.597 [4 per cell]
3 Si 0.004 0.500 0.353 [4 per cell]